# Li4Co3O7
Calculated powder diffraction line list, CuKα. Input: a GGA+U-relaxed structure.
No peak broadening, texture or thermal motion is included.

Structural model:
Cell lengths 5.1010, 5.1486, 10.0153 Å; angles 99.29, 101.61, 99.61 degrees
Fractional positions:
Li 0.0000 0.0000 0.0000
Li 0.0000 0.0000 0.5000
Li 0.1502 0.2870 0.2855
Li 0.2833 0.5831 0.5701
Li 0.4307 0.8659 0.8587
Li 0.5693 0.1341 0.1413
Li 0.7167 0.4169 0.4299
Li 0.8498 0.7130 0.7145
Co 0.1415 0.2790 0.7772
Co 0.2847 0.5744 0.0694
Co 0.4349 0.8630 0.3612
Co 0.5651 0.1370 0.6388
Co 0.7153 0.4256 0.9306
Co 0.8585 0.7210 0.2228
O 0.0787 0.6382 0.9010
O 0.0882 0.6552 0.3823
O 0.2212 0.9166 0.1921
O 0.2490 0.9536 0.6773
O 0.3506 0.2313 0.9599
O 0.3803 0.1873 0.4690
O 0.4950 0.5348 0.2538
O 0.5050 0.4652 0.7462
O 0.6197 0.8127 0.5310
O 0.6494 0.7687 0.0401
O 0.7510 0.0464 0.3227
O 0.7788 0.0834 0.8079
O 0.9118 0.3448 0.6177
O 0.9213 0.3618 0.0990

The 6 most intense peaks (2θ from 15° to 90°), in order of rising 2θ:
Position (°2θ)	intensity	hkl
18.4	100	0 1 -1
35.7	28	-1 1 3
37.0	11	1 0 3
43.1	28	-1 2 2
43.2	27	2 1 -2
44.8	24	1 -1 4